Computed PXRD pattern
Compound: La3GaFeS7
Radiation: Cu Kα (weighted mean of Kα1 and Kα2)
Structure: the GGA-PBE geometry in OQMD
Peak positions follow from Bragg's law for the DFT cell and can differ from measured ones.

Most intense lines, 2θ = 10–80°, in order of falling intensity:
3.564 Å, 24.98 deg, rel. 100.0
2.480 Å, 36.23 deg, rel. 60.9
3.553 Å, 25.06 deg, rel. 50.3
3.888 Å, 22.87 deg, rel. 40.1
2.652 Å, 33.80 deg, rel. 33.2
2.269 Å, 39.72 deg, rel. 31.6
4.960 Å, 17.88 deg, rel. 31.2
2.583 Å, 34.73 deg, rel. 29.6
3.355 Å, 26.57 deg, rel. 28.6
2.233 Å, 40.39 deg, rel. 26.1

Structure:
a b c (Å): 10.1956 5.9855 10.2316
angles (deg): 90.00 119.69 90.00
Fractional coordinates of all 24 atoms:
1 La 0.1277 0.0000 0.3597
2 La 0.2658 0.5009 0.1241
3 La 0.3617 0.4994 0.7325
4 La 0.6383 0.9994 0.2675
5 La 0.7342 0.0009 0.8759
6 La 0.8724 0.5000 0.6403
7 Ga 0.1670 0.0818 0.8334
8 Ga 0.8330 0.5818 0.1666
9 Fe 0.4994 0.2206 0.4994
10 Fe 0.5006 0.7206 0.5006
11 S 0.0161 0.2300 0.9186
12 S 0.0819 0.2300 0.5979
13 S 0.1663 0.7069 0.8321
14 S 0.2700 0.4608 0.4113
15 S 0.3555 0.9607 0.2670
16 S 0.4035 0.2301 0.9826
17 S 0.4135 0.9612 0.6423
18 S 0.5865 0.4612 0.3577
19 S 0.5965 0.7301 0.0174
20 S 0.6445 0.4607 0.7330
21 S 0.7300 0.9608 0.5887
22 S 0.8337 0.2069 0.1679
23 S 0.9181 0.7300 0.4021
24 S 0.9839 0.7300 0.0814

---

Computed PXRD pattern
Compound: Dy3In3Pd2Au
Radiation: Cu Kα (weighted mean of Kα1 and Kα2)
Structure: the GGA-PBE geometry in OQMD
Peak positions follow from Bragg's law for the DFT cell and can differ from measured ones.

Most intense lines, 2θ = 10–80°, in order of falling intensity:
2.544 Å, 35.29 deg, rel. 100.0
2.751 Å, 32.55 deg, rel. 85.8
2.228 Å, 40.49 deg, rel. 46.2
1.428 Å, 65.34 deg, rel. 36.2
2.526 Å, 35.54 deg, rel. 35.3
2.124 Å, 42.57 deg, rel. 30.3
1.472 Å, 63.17 deg, rel. 24.6
1.961 Å, 46.30 deg, rel. 24.2
1.549 Å, 59.70 deg, rel. 15.4
3.342 Å, 26.68 deg, rel. 14.2

Structure:
a b c (Å): 7.7177 7.7177 3.9217
angles (deg): 90.00 90.00 120.00
Fractional coordinates of all 9 atoms:
1 Dy 0.0000 0.4072 0.0000
2 Dy 0.4072 0.0000 0.0000
3 Dy 0.5928 0.5928 0.0000
4 In 0.0000 0.7336 0.5000
5 In 0.2664 0.2664 0.5000
6 In 0.7336 0.0000 0.5000
7 Pd 0.3333 0.6667 0.5000
8 Pd 0.6667 0.3333 0.5000
9 Au 0.0000 0.0000 0.0000

---

Computed PXRD pattern
Compound: KPrSe2O8
Radiation: Cu Kα (weighted mean of Kα1 and Kα2)
Structure: the GGA-PBE geometry in OQMD
Peak positions follow from Bragg's law for the DFT cell and can differ from measured ones.

Most intense lines, 2θ = 10–80°, in order of falling intensity:
3.060 Å, 29.18 deg, rel. 100.0
3.236 Å, 27.56 deg, rel. 98.9
8.664 Å, 10.21 deg, rel. 72.6
3.449 Å, 25.83 deg, rel. 56.1
1.976 Å, 45.93 deg, rel. 32.6
1.834 Å, 49.71 deg, rel. 32.1
2.077 Å, 43.57 deg, rel. 29.7
2.763 Å, 32.41 deg, rel. 25.2
3.121 Å, 28.60 deg, rel. 22.4
1.857 Å, 49.06 deg, rel. 22.3

Structure:
a b c (Å): 8.6668 7.3287 11.0534
angles (deg): 90.00 91.37 90.00
Fractional coordinates of all 48 atoms:
1 K 0.0703 0.1434 0.3398
2 K 0.0703 0.3566 0.8398
3 K 0.9297 0.6434 0.1602
4 K 0.9297 0.8566 0.6602
5 Pr 0.4416 0.6654 0.6526
6 Pr 0.4416 0.8346 0.1526
7 Pr 0.5584 0.1654 0.8474
8 Pr 0.5584 0.3346 0.3474
9 Se 0.2108 0.6586 0.4115
10 Se 0.2108 0.8414 0.9115
11 Se 0.3031 0.1624 0.6070
12 Se 0.3031 0.3376 0.1070
13 Se 0.6969 0.6624 0.8930
14 Se 0.6969 0.8376 0.3930
15 Se 0.7892 0.1586 0.0885
16 Se 0.7892 0.3414 0.5885
17 O 0.0792 0.5135 0.3650
18 O 0.0792 0.9865 0.8650
19 O 0.1150 0.1482 0.6020
20 O 0.1150 0.3518 0.1020
21 O 0.1872 0.7432 0.0468
22 O 0.1872 0.7568 0.5468
23 O 0.2424 0.6780 0.8087
24 O 0.2424 0.8220 0.3087
25 O 0.3585 0.1576 0.1949
26 O 0.3585 0.3424 0.6949
27 O 0.3737 0.1613 0.4688
28 O 0.3737 0.3387 0.9688
29 O 0.3802 0.5509 0.4452
30 O 0.3802 0.9491 0.9452
31 O 0.3930 0.5034 0.1895
32 O 0.3930 0.9966 0.6895
33 O 0.6070 0.0034 0.3105
34 O 0.6070 0.4966 0.8105
35 O 0.6198 0.0509 0.0548
36 O 0.6198 0.4491 0.5548
37 O 0.6263 0.6613 0.0312
38 O 0.6263 0.8387 0.5312
39 O 0.6415 0.6576 0.3051
40 O 0.6415 0.8424 0.8051
41 O 0.7576 0.1780 0.6913
42 O 0.7576 0.3220 0.1913
43 O 0.8128 0.2432 0.4532
44 O 0.8128 0.2568 0.9532
45 O 0.8850 0.6482 0.8980
46 O 0.8850 0.8518 0.3980
47 O 0.9208 0.0135 0.1350
48 O 0.9208 0.4865 0.6350

---

Computed PXRD pattern
Compound: NdSm2Al2Fe4
Radiation: Cu Kα (weighted mean of Kα1 and Kα2)
Structure: the GGA-PBE geometry in OQMD
Peak positions follow from Bragg's law for the DFT cell and can differ from measured ones.

Most intense lines, 2θ = 10–80°, in order of falling intensity:
3.385 Å, 26.33 deg, rel. 100.0
2.342 Å, 38.43 deg, rel. 56.9
2.075 Å, 43.61 deg, rel. 54.2
2.618 Å, 34.25 deg, rel. 52.1
2.878 Å, 31.07 deg, rel. 44.3
2.143 Å, 42.17 deg, rel. 32.8
2.696 Å, 33.23 deg, rel. 28.8
2.307 Å, 39.04 deg, rel. 28.6
2.541 Å, 35.32 deg, rel. 28.6
1.465 Å, 63.52 deg, rel. 25.2

Structure:
a b c (Å): 5.5397 5.5397 8.2067
angles (deg): 99.01 99.01 43.98
Fractional coordinates of all 9 atoms:
1 Nd 0.0000 0.0000 0.0000
2 Sm 0.3733 0.3733 0.6222
3 Sm 0.6267 0.6267 0.3778
4 Al 0.3249 0.3249 0.2260
5 Al 0.6751 0.6751 0.7740
6 Fe 0.0799 0.0799 0.6289
7 Fe 0.2496 0.2496 0.9229
8 Fe 0.7504 0.7504 0.0771
9 Fe 0.9201 0.9201 0.3711

---

Computed PXRD pattern
Compound: K2CuBr4
Radiation: Cu Kα (weighted mean of Kα1 and Kα2)
Structure: the GGA-PBE geometry in OQMD
Peak positions follow from Bragg's law for the DFT cell and can differ from measured ones.

Most intense lines, 2θ = 10–80°, in order of falling intensity:
3.030 Å, 29.48 deg, rel. 100.0
3.356 Å, 26.56 deg, rel. 73.8
3.372 Å, 26.43 deg, rel. 72.8
2.676 Å, 33.48 deg, rel. 68.7
2.355 Å, 38.21 deg, rel. 52.2
2.997 Å, 29.81 deg, rel. 50.7
3.010 Å, 29.68 deg, rel. 41.2
1.977 Å, 45.90 deg, rel. 40.3
2.449 Å, 36.69 deg, rel. 39.0
1.857 Å, 49.06 deg, rel. 38.3

Structure:
a b c (Å): 7.5715 6.6772 9.4210
angles (deg): 90.00 107.85 90.00
Fractional coordinates of all 14 atoms:
1 K 0.2029 0.0000 0.4240
2 K 0.2588 0.9992 0.9419
3 K 0.7412 0.4992 0.0581
4 K 0.7971 0.5000 0.5760
5 Cu 0.2761 0.5030 0.1998
6 Cu 0.7239 0.0030 0.8002
7 Br 0.0853 0.5023 0.3683
8 Br 0.1135 0.5052 0.9337
9 Br 0.4943 0.2611 0.7343
10 Br 0.5000 0.2393 0.2647
11 Br 0.5000 0.7393 0.7353
12 Br 0.5057 0.7611 0.2657
13 Br 0.8865 0.0052 0.0663
14 Br 0.9147 0.0023 0.6317

---

Computed PXRD pattern
Compound: Ho3NiSn3Pd2
Radiation: Cu Kα (weighted mean of Kα1 and Kα2)
Structure: the GGA-PBE geometry in OQMD
Peak positions follow from Bragg's law for the DFT cell and can differ from measured ones.

Most intense lines, 2θ = 10–80°, in order of falling intensity:
2.704 Å, 33.13 deg, rel. 100.0
2.496 Å, 35.98 deg, rel. 65.8
2.456 Å, 36.59 deg, rel. 48.7
2.166 Å, 41.70 deg, rel. 28.3
1.393 Å, 67.23 deg, rel. 24.5
1.527 Å, 60.64 deg, rel. 23.1
1.950 Å, 46.58 deg, rel. 21.0
1.636 Å, 56.23 deg, rel. 17.5
2.078 Å, 43.55 deg, rel. 16.1
1.449 Å, 64.28 deg, rel. 15.6

Structure:
a b c (Å): 7.5036 7.5036 3.8998
angles (deg): 90.00 90.00 120.00
Fractional coordinates of all 9 atoms:
1 Ho 0.0000 0.4031 0.0000
2 Ho 0.4031 0.0000 0.0000
3 Ho 0.5969 0.5969 0.0000
4 Ni 0.0000 0.0000 0.0000
5 Sn 0.0000 0.7498 0.5000
6 Sn 0.2502 0.2502 0.5000
7 Sn 0.7498 0.0000 0.5000
8 Pd 0.3333 0.6667 0.5000
9 Pd 0.6667 0.3333 0.5000